Record 1
This entry pairs a crystal structure of Os2PdRu with its theoretical X-ray powder pattern. Radiation: λ = 1.5418 Å (Cu Kα). Structure: a crystal structure in Alexandria, relaxed with GGA-PBE.
Neutral-atom scattering factors, no anomalous dispersion.

Atomic structure:
```
Os2PdRu
1.0
0.000 3.095 3.095
3.095 0.000 3.095
3.095 3.095 0.000
Os Pd Ru
2 1 1
direct
0.250 0.250 0.250 Os
0.750 0.750 0.750 Os
0.000 0.000 0.000 Pd
0.500 0.500 0.500 Ru
```

Largest 5 diffraction maxima, in order of falling intensity, 5 to 70 degrees two-theta:
| Position (°2θ) | Rel. int. |
| --- | --- |
| 41.26 | 100 |
| 59.77 | 17 |
| 28.85 | 10 |
| 67.70 | 4 |
| 51.12 | 3 |

---

Record 2
This entry pairs a crystal structure of Nd2IrBr with its theoretical X-ray powder pattern. Radiation: λ = 1.5418 Å (Cu Kα). Structure: a crystal structure in Alexandria, relaxed with GGA-PBE.
Neutral-atom scattering factors, no anomalous dispersion.

Atomic structure:
```
Nd2IrBr
1.0
2.085 1.204 7.786
-2.085 1.204 7.786
0.000 -2.408 7.786
Nd Ir Br
2 1 1
direct
0.231 0.231 0.231 Nd
0.769 0.769 0.769 Nd
0.500 0.500 0.500 Ir
0.000 0.000 0.000 Br
```

Largest 6 diffraction maxima, in order of falling intensity, 5 to 70 degrees two-theta:
| Position (°2θ) | Rel. int. |
| --- | --- |
| 29.07 | 100 |
| 11.36 | 43 |
| 43.40 | 38 |
| 39.70 | 30 |
| 36.67 | 20 |
| 53.08 | 19 |

---

Record 3
This entry pairs a crystal structure of Ho4PSe3 with its theoretical X-ray powder pattern. Radiation: λ = 1.5418 Å (Cu Kα). Structure: a crystal structure in Alexandria, relaxed with GGA-PBE.
Neutral-atom scattering factors, no anomalous dispersion.

Atomic structure:
```
Ho4PSe3
1.0
5.702 0.000 0.000
0.000 5.702 0.000
0.000 0.000 5.702
Ho P Se
4 1 3
direct
0.000 0.000 0.000 Ho
0.000 0.500 0.500 Ho
0.500 0.000 0.500 Ho
0.500 0.500 0.000 Ho
0.500 0.500 0.500 P
0.000 0.000 0.500 Se
0.000 0.500 0.000 Se
0.500 0.000 0.000 Se
```

Largest 6 diffraction maxima, in order of falling intensity, 5 to 70 degrees two-theta:
| Position (°2θ) | Rel. int. |
| --- | --- |
| 31.37 | 100 |
| 44.96 | 74 |
| 27.08 | 33 |
| 55.85 | 26 |
| 53.28 | 16 |
| 65.47 | 12 |

---

Record 4
This entry pairs a crystal structure of TaW2N with its theoretical X-ray powder pattern. Radiation: λ = 1.5418 Å (Cu Kα). Structure: a crystal structure in Alexandria, relaxed with GGA-PBE.
Neutral-atom scattering factors, no anomalous dispersion.

Atomic structure:
```
TaW2N
1.0
4.931 0.000 0.000
-2.357 4.741 0.000
-2.416 -1.447 4.873
Ta W N
2 4 2
direct
0.000 0.000 0.000 Ta
0.228 0.814 0.532 Ta
0.314 0.662 0.045 W
0.594 0.482 0.508 W
0.608 0.325 0.968 W
0.840 0.133 0.462 W
0.078 0.379 0.245 N
0.501 0.632 0.797 N
```

Largest 6 diffraction maxima, in order of falling intensity, 5 to 70 degrees two-theta:
| Position (°2θ) | Rel. int. |
| --- | --- |
| 37.70 | 100 |
| 36.89 | 96 |
| 38.79 | 90 |
| 38.64 | 87 |
| 39.11 | 80 |
| 36.45 | 78 |

---

Record 5
This entry pairs a crystal structure of IrS2Cl3O7 with its theoretical X-ray powder pattern. Radiation: λ = 1.5418 Å (Cu Kα). Structure: a crystal structure in Alexandria, relaxed with GGA-PBE.
Neutral-atom scattering factors, no anomalous dispersion.

Atomic structure:
```
IrS2Cl3O7
1.0
7.078 0.000 0.000
0.000 8.554 0.000
-3.477 0.000 10.063
Ir S Cl O
2 4 6 14
direct
0.185 0.250 0.291 Ir
0.815 0.750 0.709 Ir
0.313 0.250 0.041 S
0.432 0.250 0.616 S
0.568 0.750 0.384 S
0.687 0.750 0.959 S
0.010 0.750 0.931 Cl
0.207 0.523 0.288 Cl
0.207 0.977 0.288 Cl
0.793 0.023 0.712 Cl
0.793 0.477 0.712 Cl
0.990 0.250 0.069 Cl
0.015 0.750 0.641 O
0.242 0.159 0.640 O
0.242 0.341 0.640 O
0.315 0.104 0.976 O
0.315 0.396 0.976 O
0.407 0.250 0.189 O
0.416 0.250 0.473 O
0.584 0.750 0.527 O
0.593 0.750 0.811 O
0.685 0.604 0.024 O
0.685 0.896 0.024 O
0.758 0.659 0.360 O
0.758 0.841 0.360 O
0.985 0.250 0.359 O
```

Largest 6 diffraction maxima, in order of falling intensity, 5 to 70 degrees two-theta:
| Position (°2θ) | Rel. int. |
| --- | --- |
| 16.83 | 100 |
| 13.59 | 55 |
| 13.28 | 47 |
| 20.77 | 27 |
| 26.60 | 21 |
| 18.16 | 19 |

---

Record 6
This entry pairs a crystal structure of TbTh3Pt3 with its theoretical X-ray powder pattern. Radiation: λ = 1.5418 Å (Cu Kα). Structure: a crystal structure in Alexandria, relaxed with GGA-PBE.
Neutral-atom scattering factors, no anomalous dispersion.

Atomic structure:
```
TbTh3Pt3
1.0
12.580 0.000 0.000
0.000 4.090 0.000
0.000 0.000 14.419
Tb Th Pt
4 12 12
direct
0.012 0.250 0.188 Tb
0.488 0.750 0.688 Tb
0.512 0.250 0.312 Tb
0.988 0.750 0.812 Tb
0.045 0.250 0.607 Th
0.184 0.750 0.032 Th
0.245 0.750 0.305 Th
0.255 0.250 0.805 Th
0.316 0.250 0.532 Th
0.455 0.750 0.107 Th
0.545 0.250 0.893 Th
0.684 0.750 0.468 Th
0.745 0.750 0.195 Th
0.755 0.250 0.695 Th
0.816 0.250 0.968 Th
0.955 0.750 0.393 Th
0.062 0.250 0.936 Pt
0.120 0.250 0.407 Pt
0.207 0.750 0.667 Pt
0.293 0.250 0.167 Pt
0.380 0.750 0.907 Pt
0.438 0.750 0.436 Pt
0.562 0.250 0.564 Pt
0.620 0.250 0.093 Pt
0.707 0.750 0.833 Pt
0.793 0.250 0.333 Pt
0.880 0.750 0.593 Pt
0.938 0.750 0.064 Pt
```

Largest 6 diffraction maxima, in order of falling intensity, 5 to 70 degrees two-theta:
| Position (°2θ) | Rel. int. |
| --- | --- |
| 36.02 | 100 |
| 29.55 | 99 |
| 33.02 | 80 |
| 44.30 | 77 |
| 35.92 | 67 |
| 32.07 | 49 |

---

Record 7
This entry pairs a crystal structure of Li6Ni7 with its theoretical X-ray powder pattern. Radiation: λ = 1.5418 Å (Cu Kα). Structure: a crystal structure in Alexandria, relaxed with GGA-PBE.
Neutral-atom scattering factors, no anomalous dispersion.

Atomic structure:
```
Li6Ni7
1.0
2.378 1.373 8.415
-2.378 1.373 8.415
0.000 -2.746 8.415
Li Ni
6 7
direct
0.053 0.053 0.053 Li
0.152 0.152 0.152 Li
0.335 0.335 0.335 Li
0.665 0.665 0.665 Li
0.848 0.848 0.848 Li
0.947 0.947 0.947 Li
0.086 0.592 0.592 Ni
0.408 0.408 0.914 Ni
0.408 0.914 0.408 Ni
0.500 0.500 0.500 Ni
0.592 0.086 0.592 Ni
0.592 0.592 0.086 Ni
0.914 0.408 0.408 Ni
```

Largest 6 diffraction maxima, in order of falling intensity, 5 to 70 degrees two-theta:
| Position (°2θ) | Rel. int. |
| --- | --- |
| 21.12 | 100 |
| 21.87 | 81 |
| 47.70 | 72 |
| 10.51 | 64 |
| 25.83 | 42 |
| 43.73 | 41 |

---

Record 8
This entry pairs a crystal structure of Li2Mg2Si4O11 with its theoretical X-ray powder pattern. Radiation: λ = 1.5418 Å (Cu Kα). Structure: a crystal structure in Alexandria, relaxed with GGA-PBE.
Neutral-atom scattering factors, no anomalous dispersion.

Atomic structure:
```
Li2Mg2Si4O11
1.0
6.978 0.000 0.000
-1.977 7.264 0.000
-1.690 -1.934 8.363
Li Mg Si O
4 4 8 22
direct
0.112 0.288 0.195 Li
0.359 0.747 0.848 Li
0.641 0.253 0.152 Li
0.888 0.712 0.805 Li
0.134 0.876 0.600 Mg
0.381 0.118 0.389 Mg
0.619 0.882 0.611 Mg
0.866 0.124 0.400 Mg
0.022 0.724 0.225 Si
0.260 0.108 0.967 Si
0.269 0.473 0.596 Si
0.458 0.726 0.233 Si
0.542 0.274 0.767 Si
0.731 0.527 0.404 Si
0.740 0.892 0.033 Si
0.978 0.276 0.775 Si
0.091 0.909 0.371 O
0.100 0.237 0.941 O
0.121 0.460 0.727 O
0.173 0.305 0.436 O
0.177 0.906 0.840 O
0.208 0.651 0.180 O
0.316 0.117 0.155 O
0.320 0.693 0.585 O
0.438 0.083 0.627 O
0.476 0.240 0.933 O
0.482 0.450 0.704 O
0.518 0.550 0.296 O
0.524 0.760 0.067 O
0.562 0.917 0.373 O
0.680 0.307 0.415 O
0.684 0.883 0.845 O
0.792 0.349 0.820 O
0.823 0.094 0.160 O
0.827 0.695 0.564 O
0.879 0.540 0.273 O
0.900 0.763 0.059 O
0.909 0.091 0.629 O
```

Largest 6 diffraction maxima, in order of falling intensity, 5 to 70 degrees two-theta:
| Position (°2θ) | Rel. int. |
| --- | --- |
| 31.14 | 100 |
| 32.12 | 87 |
| 18.15 | 69 |
| 25.24 | 62 |
| 29.54 | 54 |
| 27.10 | 54 |